[1]
Starting from a crystal structure in Alexandria, relaxed with PBE, the powder XRD pattern of Er2SiO5 was computed for Cu Kα (weighted mean of Kα1 and Kα2).

Most intense lines, 10 to 90 degrees two-theta, in order of rising 2θ:
| two_theta | d_spacing | intensity | (hkl) |
| --- | --- | --- | --- |
| 12.02 | 7.362 | 28 | 1 0 1 |
| 26.37 | 3.380 | 30 | 1 0 3 |
| 30.29 | 2.951 | 100 | 2 1 0 |
| 30.58 | 2.924 | 67 | 2 0 3 |
| 31.39 | 2.850 | 19 | 3 0 2 |
| 35.14 | 2.554 | 33 | 0 1 3 |
| 44.53 | 2.035 | 21 | 3 1 3 |
| 50.15 | 1.819 | 27 | 0 2 0 |
| 50.87 | 1.795 | 33 | 4 1 3 |
| 59.90 | 1.544 | 20 | 2 2 3 |

Cell and atoms:
Cell lengths 10.094, 3.637, 10.760 Å; angles 90.00, 90.00, 90.00 degrees
Element x y z (fractional)
1 Er 0.102 0.250 0.216
2 Er 0.139 0.250 0.552
3 Er 0.361 0.750 0.052
4 Er 0.398 0.750 0.716
5 Er 0.602 0.250 0.284
6 Er 0.639 0.250 0.948
7 Er 0.861 0.750 0.448
8 Er 0.898 0.750 0.784
9 Si 0.181 0.250 0.873
10 Si 0.319 0.750 0.373
11 Si 0.681 0.250 0.627
12 Si 0.819 0.750 0.127
13 O 0.009 0.750 0.606
14 O 0.021 0.250 0.844
15 O 0.222 0.250 0.026
16 O 0.225 0.750 0.875
17 O 0.236 0.750 0.233
18 O 0.264 0.250 0.733
19 O 0.275 0.250 0.375
20 O 0.278 0.750 0.526
21 O 0.479 0.750 0.344
22 O 0.491 0.250 0.106
23 O 0.509 0.750 0.894
24 O 0.521 0.250 0.656
25 O 0.722 0.250 0.474
26 O 0.725 0.750 0.625
27 O 0.736 0.750 0.267
28 O 0.764 0.250 0.767
29 O 0.775 0.250 0.125
30 O 0.778 0.750 0.974
31 O 0.979 0.750 0.156
32 O 0.991 0.250 0.394

***

[2]
Starting from a crystal structure in Alexandria, relaxed with PBE, the powder XRD pattern of NaCoRhSe3 was computed for Cu Kα (weighted mean of Kα1 and Kα2).

Most intense lines, 10 to 90 degrees two-theta, in order of rising 2θ:
| two_theta | d_spacing | intensity | (hkl) |
| --- | --- | --- | --- |
| 13.05 | 6.784 | 100 | 1 0 -1 |
| 31.93 | 2.803 | 21 | 0 0 3 |
| 33.23 | 2.696 | 41 | 2 1 -1 |
| 34.10 | 2.629 | 26 | 2 1 0 |
| 38.78 | 2.322 | 14 | 1 1 -3 |
| 42.19 | 2.142 | 13 | 3 1 -1 |
| 48.70 | 1.870 | 26 | 2 1 -4 |
| 48.81 | 1.866 | 16 | 0 2 0 |
| 53.02 | 1.727 | 12 | 2 1 3 |
| 54.77 | 1.676 | 10 | 3 1 2 |

Cell and atoms:
Cell lengths 7.854, 3.731, 8.911 Å; angles 90.00, 109.32, 90.00 degrees
Element x y z (fractional)
1 Na 0.221 0.250 0.255
2 Na 0.779 0.750 0.745
3 Co 0.086 0.250 0.605
4 Co 0.914 0.750 0.395
5 Rh 0.315 0.750 0.840
6 Rh 0.685 0.250 0.160
7 Se 0.110 0.250 0.871
8 Se 0.226 0.750 0.536
9 Se 0.460 0.750 0.140
10 Se 0.540 0.250 0.860
11 Se 0.774 0.250 0.464
12 Se 0.890 0.750 0.129